This entry pairs a crystal structure of LiCu2C2O6 with its theoretical PXRD pattern. Radiation: Cu Ka. Structure: a cell relaxed with PBE.
Lines closer than 0.1° are merged.

Most intense lines, 2θ = 10–90°, most intense first:
18.58 deg, 4.774 Å, I 100, (0 1 1); 17.74 deg, 4.999 Å, I 90, (0 1 -1); 37.65 deg, 2.389 Å, I 27, (0 1 -3); 35.88 deg, 2.503 Å, I 21, (1 2 1); 25.57 deg, 3.484 Å, I 19, (1 1 1); 35.63 deg, 2.520 Å, I 17, (2 1 -1)

Cell and atoms:
Unit cell a=5.674 b=6.390 c=7.647 alpha=92.53 beta=96.88 gamma=91.04
Space group P-1 (No. 2)
Inequivalent atoms, fractional coordinates:
Li 0.055 0.252 0.200
Cu 0.218 0.042 0.502
Cu 0.308 0.555 0.020
C 0.024 0.166 0.803
C 0.459 0.678 0.704
O 0.007 0.286 0.941
O 0.156 0.961 0.255
O 0.216 0.172 0.729
O 0.275 0.668 0.790
O 0.347 0.419 0.238
O 0.456 0.783 0.565